[1]
Ba3ErMn2O6: calculated powder XRD pattern (Cu Kα (weighted mean of Kα1 and Kα2)), based on DFT lattice parameters and positions (GGA+U).
Lines closer than 0.1° are merged.

Principal peaks in the range 10° ≤ 2θ ≤ 90°, by angle:
d (Å), Rel. int.
7.070, 236
3.085, 1000
2.948, 826
2.131, 467
1.781, 202
1.754, 358
1.678, 166
1.543, 172
1.367, 176
1.330, 154

Atomic structure:
```
data_Ba3ErMn2O6
_space_group_name_H-M_alt 'P -3 m 1'
_space_group_IT_number 164
_space_group_name_Hall '-P 3 2"'
_cell_length_a 6.1700
_cell_length_b 6.1700
_cell_length_c 7.0698
_cell_angle_alpha 90.00
_cell_angle_beta 90.00
_cell_angle_gamma 120.00
loop_
_atom_site_label
_atom_site_fract_x
_atom_site_fract_y
_atom_site_fract_z
Ba1 0.0000 0.0000 0.0000
Ba2 0.3333 0.6667 0.6322
Er1 0.0000 0.0000 0.5000
Mn1 0.3333 0.6667 0.1802
O1 0.1670 0.3340 0.3092
```


[2]
BaEr4Mn3O12: calculated powder XRD pattern (Cu Kα (weighted mean of Kα1 and Kα2)), based on DFT lattice parameters and positions (GGA+U).
Lines closer than 0.1° are merged.

Principal peaks in the range 10° ≤ 2θ ≤ 90°, by angle:
d (Å), Rel. int.
4.086, 185
2.890, 1000
2.359, 45
2.043, 209
1.828, 109
1.668, 473
1.445, 123
1.292, 183
1.180, 48
1.092, 212

Atomic structure:
```
data_BaEr4Mn3O12
_space_group_name_H-M_alt 'I m -3'
_space_group_IT_number 204
_space_group_name_Hall '-I 2 2 3'
_cell_length_a 8.173
_cell_length_b 8.173
_cell_length_c 8.173
_cell_angle_alpha 90.00
_cell_angle_beta 90.00
_cell_angle_gamma 90.00
loop_
_atom_site_label
_atom_site_fract_x
_atom_site_fract_y
_atom_site_fract_z
Ba1 0.000 0.000 0.000
Er1 0.250 0.250 0.250
Mn1 0.000 0.000 0.500
O1 0.000 0.161 0.324
```


[3]
BaErMn2O8: calculated powder XRD pattern (Cu Kα (weighted mean of Kα1 and Kα2)), based on DFT lattice parameters and positions (GGA+U).
Lines closer than 0.1° are merged.

Principal peaks in the range 10° ≤ 2θ ≤ 90°, by angle:
d (Å), Rel. int.
4.886, 883
4.120, 460
3.015, 1000
2.821, 672
2.272, 256
2.060, 466
1.847, 139
1.664, 348
1.585, 244
1.278, 157

Atomic structure:
```
data_BaErMn2O8
_space_group_name_H-M_alt 'P -3'
_space_group_IT_number 147
_cell_length_a 5.6420
_cell_length_b 5.6420
_cell_length_c 7.6618
_cell_angle_alpha 90.00
_cell_angle_beta 90.00
_cell_angle_gamma 120.00
loop_
_space_group_symop_operation_xyz
'x,y,z'
'-x,-y,-z'
'-y,x-y,z'
'y,-x+y,-z'
'-x+y,-x,z'
'x-y,x,-z'
loop_
_atom_site_label
_atom_site_fract_x
_atom_site_fract_y
_atom_site_fract_z
Ba1 0.0000 0.0000 0.0000
Er1 0.0000 0.0000 0.5000
Mn1 0.3333 0.6667 0.7644
O1 0.1662 0.8293 0.6940
O2 0.3333 0.6667 0.9806
```


[4]
BaErMn2O5: calculated powder XRD pattern (Cu Kα (weighted mean of Kα1 and Kα2)), based on DFT lattice parameters and positions (GGA+U).
Lines closer than 0.1° are merged.

Principal peaks in the range 10° ≤ 2θ ≤ 90°, by angle:
d (Å), Rel. int.
3.959, 216
3.912, 99
2.800, 431
2.783, 1000
2.277, 222
1.980, 285
1.956, 92
1.613, 382
1.604, 220
1.391, 118

Atomic structure:
```
data_BaErMn2O5
_space_group_name_H-M_alt 'P 4/n m m'
_space_group_IT_number 129
_cell_length_a 5.599
_cell_length_b 5.599
_cell_length_c 7.825
_cell_angle_alpha 90.00
_cell_angle_beta 90.00
_cell_angle_gamma 90.00
loop_
_space_group_symop_operation_xyz
'x,y,z'
'-x,-y,-z'
'-y+1/2,x,z'
'y+1/2,-x,-z'
'-x+1/2,-y+1/2,z'
'x+1/2,y+1/2,-z'
'y,-x+1/2,z'
'-y,x+1/2,-z'
'x+1/2,-y,-z'
'-x+1/2,y,z'
'-y,-x,-z'
'y,x,z'
'-x,y+1/2,-z'
'x,-y+1/2,z'
'y+1/2,x+1/2,-z'
'-y+1/2,-x+1/2,z'
loop_
_atom_site_label
_atom_site_fract_x
_atom_site_fract_y
_atom_site_fract_z
Ba1 0.250 0.750 0.000
Er1 0.250 0.750 0.500
Mn1 0.250 0.250 0.261
Mn2 0.250 0.250 0.725
O1 0.005 0.005 0.677
O2 0.250 0.250 0.995
```


[5]
BaErMo2O8: calculated powder XRD pattern (Cu Kα (weighted mean of Kα1 and Kα2)), based on DFT lattice parameters and positions (GGA+U).
Lines closer than 0.1° are merged.

Principal peaks in the range 10° ≤ 2θ ≤ 90°, by angle:
d (Å), Rel. int.
5.172, 560
4.259, 795
3.037, 1000
2.986, 895
2.129, 500
1.892, 160
1.734, 406
1.724, 175
1.589, 273
1.340, 181

Atomic structure:
```
data_BaErMo2O8
_space_group_name_H-M_alt 'P -3 m 1'
_space_group_IT_number 164
_space_group_name_Hall '-P 3 2"'
_cell_length_a 5.9723
_cell_length_b 5.9723
_cell_length_c 7.5053
_cell_angle_alpha 90.00
_cell_angle_beta 90.00
_cell_angle_gamma 120.00
loop_
_atom_site_label
_atom_site_fract_x
_atom_site_fract_y
_atom_site_fract_z
Ba1 0.0000 0.0000 0.0000
Er1 0.0000 0.0000 0.5000
Mo1 0.3333 0.6667 0.2325
O1 0.1638 0.3276 0.3070
O2 0.3333 0.6667 0.9947
```


[6]
Ba3SrEr2Mo2O12: calculated powder XRD pattern (Cu Kα (weighted mean of Kα1 and Kα2)), based on DFT lattice parameters and positions (GGA+U).
Lines closer than 0.1° are merged.

Principal peaks in the range 10° ≤ 2θ ≤ 90°, by angle:
d (Å), Rel. int.
2.992, 1000
2.982, 334
2.967, 673
2.130, 205
2.098, 377
1.733, 140
1.719, 347
1.715, 130
1.497, 119
1.326, 89

Atomic structure:
```
data_Ba3SrEr2Mo2O12
_space_group_name_H-M_alt 'P 1'
_space_group_IT_number 1
_cell_length_a 5.939
_cell_length_b 5.987
_cell_length_c 10.275
_cell_angle_alpha 89.59
_cell_angle_beta 73.33
_cell_angle_gamma 60.29
loop_
_space_group_symop_operation_xyz
'x,y,z'
loop_
_atom_site_label
_atom_site_fract_x
_atom_site_fract_y
_atom_site_fract_z
Ba1 0.000 0.000 0.000
Ba2 0.013 0.501 0.499
Ba3 0.503 0.754 0.250
Sr1 0.518 0.259 0.745
Er1 0.257 0.875 0.628
Er2 0.258 0.378 0.121
Mo1 0.757 0.127 0.376
Mo2 0.757 0.626 0.872
O1 0.007 0.231 0.267
O2 0.056 0.703 0.768
O3 0.478 0.525 0.972
O4 0.503 0.025 0.483
O5 0.519 0.280 0.252
O6 0.527 0.983 0.998
O7 0.542 0.476 0.506
O8 0.550 0.797 0.748
O9 0.960 0.481 0.001
O10 0.968 0.273 0.749
O11 0.976 0.774 0.249
O12 0.990 0.976 0.501
```


[7]
Ba5Er8Ni4O21: calculated powder XRD pattern (Cu Kα (weighted mean of Kα1 and Kα2)), based on DFT lattice parameters and positions (GGA+U).
Lines closer than 0.1° are merged.

Principal peaks in the range 10° ≤ 2θ ≤ 90°, by angle:
d (Å), Rel. int.
3.167, 481
3.071, 176
2.876, 1000
2.849, 417
2.474, 330
2.355, 144
2.089, 201
1.957, 186
1.815, 122
1.650, 193

Atomic structure:
```
data_Ba5Er8Ni4O21
_space_group_name_H-M_alt 'I 4/m'
_space_group_IT_number 87
_space_group_name_Hall '-I 4'
_cell_length_a 13.733
_cell_length_b 13.733
_cell_length_c 5.699
_cell_angle_alpha 90.00
_cell_angle_beta 90.00
_cell_angle_gamma 90.00
loop_
_atom_site_label
_atom_site_fract_x
_atom_site_fract_y
_atom_site_fract_z
Ba1 0.000 0.000 0.000
Ba2 0.037 0.361 0.500
Er1 0.089 0.857 0.500
Er2 0.167 0.250 0.000
Ni1 0.041 0.755 0.000
O1 0.000 0.000 0.500
O2 0.039 0.368 0.000
O3 0.048 0.178 0.250
O4 0.148 0.743 0.247
```